Computed X-ray diffraction stick pattern
Compound: Ac3Tl2Pd4Pt2
Radiation: Cu Kα X-rays
Structure: a GGA-PBE-relaxed structure

Principal peaks in the range 2θ = 5–70°, most intense first:
(hkl)  two_theta  I (rel.)
0 1 4  32.5  100
1 1 0  38.9  90
1 0 3  28.4  37
2 0 4  51.6  28
1 2 4  66.4  26
1 1 7  58.3  24
1 0 2  25.1  21
1 0 5  37.2  19
0 1 1  22.9  14
0 0 7  41.7  11
1 1 8  63.4  10
0 2 3  48.9  9

Crystal structure
Cell lengths 4.6307, 4.6307, 15.1677 Å; angles 90.00, 90.00, 120.00 degrees
Sites, in units of the cell vectors:
1 Ac 0.0000 0.0000 0.0000
2 Ac 0.0000 0.0000 0.2615
3 Ac 0.0000 0.0000 0.7385
4 Tl 0.3333 0.6667 0.5665
5 Tl 0.6667 0.3333 0.4335
6 Pd 0.3333 0.6667 0.3742
7 Pd 0.3333 0.6667 0.8652
8 Pd 0.6667 0.3333 0.1348
9 Pd 0.6667 0.3333 0.6258
10 Pt 0.3333 0.6667 0.1364
11 Pt 0.6667 0.3333 0.8636